# 1
Starting from a structure optimized by DFT (GGA-PBE), the XRD peak list of Ti4O5 was calculated for copper Kα.
Lines closer than 0.1° are merged.

The 10 most intense peaks (2θ from 10° to 90°), low angle first:
Position (°2θ)	intensity
18.9	16
25.1	38
26.9	19
37.1	55
43.1	100
43.2	49
54.4	12
62.6	79
75.1	11
79.1	22

Atomic structure:
```
Ti4O5
1.0
-3.319 3.319 2.094
3.319 -3.319 2.094
3.319 3.319 -2.094
Ti O
4 5
direct
0.108 0.284 0.391
0.284 0.892 0.176
0.716 0.108 0.824
0.892 0.716 0.609
0.000 0.000 0.000
0.190 0.591 0.781
0.409 0.190 0.599
0.591 0.810 0.401
0.810 0.409 0.219
```

# 2
Starting from a structure optimized by DFT (GGA-PBE), the XRD peak list of Na3NbSi3SnO12 was calculated for copper Kα.
Lines closer than 0.1° are merged.

The 10 most intense peaks (2θ from 10° to 90°), low angle first:
Position (°2θ)	intensity
13.7	13
19.5	100
19.6	15
22.9	11
27.7	30
31.0	36
31.1	17
34.0	11
34.1	36
44.5	13

Atomic structure:
```
Na3NbSi3SnO12
1.0
7.868 -4.559 0.000
7.868 4.559 0.000
-5.189 0.000 7.448
Na Nb Si Sn O
6 2 6 2 24
direct
0.059 0.941 0.500
0.204 0.415 0.954
0.331 0.792 0.202
0.415 0.204 0.454
0.792 0.331 0.702
0.941 0.059 0.000
0.457 0.949 0.639
0.949 0.457 0.139
0.056 0.271 0.464
0.271 0.056 0.964
0.350 0.559 0.453
0.559 0.350 0.953
0.768 0.850 0.461
0.850 0.768 0.961
0.165 0.664 0.772
0.664 0.165 0.272
0.020 0.309 0.285
0.037 0.740 0.950
0.084 0.234 0.967
0.103 0.434 0.648
0.176 0.515 0.271
0.232 0.895 0.956
0.234 0.084 0.467
0.309 0.020 0.785
0.311 0.595 0.626
0.360 0.741 0.467
0.387 0.535 0.950
0.434 0.103 0.148
0.515 0.176 0.771
0.535 0.387 0.450
0.578 0.873 0.463
0.595 0.311 0.126
0.672 0.819 0.789
0.740 0.037 0.450
0.741 0.360 0.967
0.819 0.672 0.289
0.831 0.940 0.142
0.873 0.578 0.963
0.895 0.232 0.456
0.940 0.831 0.642
```

- What is the formula in the second record?
  Na3NbSi3SnO12